This entry pairs a crystal structure of NbSe3F with its computed X-ray powder pattern. Radiation: Cu Kα (weighted mean of Kα1 and Kα2). Structure: DFT lattice parameters and positions (GGA-PBE).
No peak broadening, texture or thermal motion is included.

Largest 10 diffraction maxima, by angle, 2θ = 10–90°:
2θ = 11.6°, d 7.653, I = 26, (0 0 1); 2θ = 11.9°, d 7.442, I = 92, (0 1 0); 2θ = 19.4°, d 4.581, I = 54, (0 1 -1); 2θ = 23.1°, d 3.843, I = 100, (1 0 1); 2θ = 23.9°, d 3.721, I = 50, (0 2 0); 2θ = 29.4°, d 3.041, I = 33, (1 1 -1); 2θ = 34.8°, d 2.575, I = 59, (0 2 3); 2θ = 36.2°, d 2.484, I = 26, (1 3 2); 2θ = 42.7°, d 2.117, I = 47, (2 1 1); 2θ = 45.4°, d 1.996, I = 25, (1 2 -2)

Crystal structure
Lattice parameters (Å, degrees): 4.234 8.217 8.448 66.71 75.83 75.77
Space group P-1 (No. 2)
Symmetry-distinct sites (fractional):
1 Nb 0.166 0.044 0.128 x2
2 Se 0.026 0.733 0.698 x2
3 Se 0.180 0.767 0.385 x2
4 Se 0.353 0.778 0.008 x2
5 F 0.431 0.299 0.319 x2



This entry pairs a crystal structure of NbSnSe2F with its computed X-ray powder pattern. Radiation: Cu Kα (weighted mean of Kα1 and Kα2). Structure: DFT lattice parameters and positions (GGA-PBE).
No peak broadening, texture or thermal motion is included.

Largest 10 diffraction maxima, by angle, 2θ = 10–90°:
2θ = 15.6°, d 5.680, I = 26, (0 0 1); 2θ = 18.2°, d 4.872, I = 100, (1 0 0); 2θ = 30.3°, d 2.946, I = 63, (1 1 1); 2θ = 31.5°, d 2.840, I = 53, (0 0 2); 2θ = 36.6°, d 2.454, I = 35, (1 0 2); 2θ = 36.9°, d 2.436, I = 69, (2 0 0); 2θ = 41.4°, d 2.179, I = 25, (2 1 0); 2θ = 49.3°, d 1.849, I = 60, (2 0 2); 2θ = 53.0°, d 1.729, I = 25, (2 1 2); 2θ = 63.1°, d 1.473, I = 28, (2 2 2)

Crystal structure
Lattice parameters (Å, degrees): 4.872 4.872 5.680 90.00 90.00 90.00
Space group P4/mmm (No. 123)
Symmetry-distinct sites (fractional):
1 Nb 0.000 0.000 0.000 x1
2 Sn 0.000 0.000 0.500 x1
3 Se 0.000 0.500 0.000 x2
4 F 0.500 0.500 0.500 x1



What did the first record say?
This entry pairs a crystal structure of NbSe3F with its computed X-ray powder pattern. Radiation: Cu Kα (weighted mean of Kα1 and Kα2). Structure: DFT lattice parameters and positions (GGA-PBE).
No peak broadening, texture or thermal motion is included.

Largest 10 diffraction maxima, by angle, 2θ = 10–90°:
2θ = 11.6°, d 7.653, I = 26, (0 0 1); 2θ = 11.9°, d 7.442, I = 92, (0 1 0); 2θ = 19.4°, d 4.581, I = 54, (0 1 -1); 2θ = 23.1°, d 3.843, I = 100, (1 0 1); 2θ = 23.9°, d 3.721, I = 50, (0 2 0); 2θ = 29.4°, d 3.041, I = 33, (1 1 -1); 2θ = 34.8°, d 2.575, I = 59, (0 2 3); 2θ = 36.2°, d 2.484, I = 26, (1 3 2); 2θ = 42.7°, d 2.117, I = 47, (2 1 1); 2θ = 45.4°, d 1.996, I = 25, (1 2 -2)

Crystal structure
Lattice parameters (Å, degrees): 4.234 8.217 8.448 66.71 75.83 75.77
Space group P-1 (No. 2)
Symmetry-distinct sites (fractional):
1 Nb 0.166 0.044 0.128 x2
2 Se 0.026 0.733 0.698 x2
3 Se 0.180 0.767 0.385 x2
4 Se 0.353 0.778 0.008 x2
5 F 0.431 0.299 0.319 x2